Theoretical X-ray powder pattern of Nd2MgMn2Rh5 for a wavelength of 1.5418 Å, from DFT lattice parameters and positions (GGA-PBE).
No peak broadening, texture or thermal motion is included.

Structural model:
Unit cell a=9.7728 b=9.7728 c=3.7265 alpha=90.00 beta=90.00 gamma=90.00
Fractional positions:
Nd 0.1790 0.3210 0.0000
Nd 0.3210 0.8210 0.0000
Nd 0.6790 0.1790 0.0000
Nd 0.8210 0.6790 0.0000
Mg 0.0000 0.0000 0.0000
Mg 0.5000 0.5000 0.0000
Mn 0.1202 0.6202 0.0000
Mn 0.3798 0.1202 0.0000
Mn 0.6202 0.8798 0.0000
Mn 0.8798 0.3798 0.0000
Rh 0.0000 0.5000 0.5000
Rh 0.0630 0.7916 0.5000
Rh 0.2084 0.0630 0.5000
Rh 0.2916 0.5630 0.5000
Rh 0.4370 0.2916 0.5000
Rh 0.5000 0.0000 0.5000
Rh 0.5630 0.7084 0.5000
Rh 0.7084 0.4370 0.5000
Rh 0.7916 0.9370 0.5000
Rh 0.9370 0.2084 0.5000

Principal peaks in the range 2θ from 10° to 90°, low angle first:
31.55 deg, d = 2.836 Å, I = 49; 37.82 deg, d = 2.379 Å, I = 100; 37.96 deg, d = 2.370 Å, I = 80; 39.11 deg, d = 2.303 Å, I = 33; 41.18 deg, d = 2.192 Å, I = 51; 63.51 deg, d = 1.465 Å, I = 35

---

Theoretical X-ray powder pattern of Mg3MnNi2 for a wavelength of 1.5418 Å, from DFT lattice parameters and positions (GGA-PBE).
No peak broadening, texture or thermal motion is included.

Structural model:
Unit cell a=8.1015 b=8.1015 c=8.1015 alpha=60.00 beta=60.00 gamma=60.00
Fractional positions:
Mg 0.0734 0.0734 0.6766
Mg 0.0734 0.6766 0.0734
Mg 0.0734 0.6766 0.6766
Mg 0.3234 0.3234 0.9266
Mg 0.3234 0.9266 0.3234
Mg 0.3234 0.9266 0.9266
Mg 0.6766 0.0734 0.0734
Mg 0.6766 0.0734 0.6766
Mg 0.6766 0.6766 0.0734
Mg 0.9266 0.3234 0.3234
Mg 0.9266 0.3234 0.9266
Mg 0.9266 0.9266 0.3234
Mn 0.0000 0.5000 0.5000
Mn 0.5000 0.0000 0.5000
Mn 0.5000 0.5000 0.0000
Mn 0.5000 0.5000 0.5000
Ni 0.2949 0.2949 0.2949
Ni 0.2949 0.2949 0.6152
Ni 0.2949 0.6152 0.2949
Ni 0.3848 0.7051 0.7051
Ni 0.6152 0.2949 0.2949
Ni 0.7051 0.3848 0.7051
Ni 0.7051 0.7051 0.3848
Ni 0.7051 0.7051 0.7051

Principal peaks in the range 2θ from 10° to 90°, low angle first:
13.39 deg, d = 6.615 Å, I = 100; 40.93 deg, d = 2.205 Å, I = 94; 44.75 deg, d = 2.025 Å, I = 25; 47.62 deg, d = 1.910 Å, I = 24; 69.63 deg, d = 1.350 Å, I = 20; 84.06 deg, d = 1.151 Å, I = 19